Entry 1:
This entry pairs a crystal structure of Li8NbNi3P6O24 with its theoretical powder X-ray diffraction pattern. Radiation: Cu Kα (weighted mean of Kα1 and Kα2). Structure: a crystal structure in the Materials Project, relaxed with GGA+U.
Peak positions follow from Bragg's law for the DFT cell and can differ from measured ones.

a b c (Å): 8.791 8.791 8.791
angles (deg): 60.66 60.66 60.66
Positions (direct):
Li 0.000 0.000 0.000
Li 0.173 0.833 0.356
Li 0.220 0.681 0.855
Li 0.356 0.173 0.833
Li 0.497 0.497 0.497
Li 0.681 0.855 0.220
Li 0.833 0.356 0.173
Li 0.855 0.220 0.681
Nb 0.669 0.669 0.669
Ni 0.173 0.173 0.173
Ni 0.375 0.375 0.375
Ni 0.871 0.871 0.871
P 0.077 0.476 0.771
P 0.269 0.983 0.568
P 0.476 0.771 0.077
P 0.568 0.269 0.983
P 0.771 0.077 0.476
P 0.983 0.568 0.269
O 0.056 0.648 0.795
O 0.061 0.308 0.951
O 0.093 0.976 0.745
O 0.136 0.533 0.327
O 0.243 0.991 0.403
O 0.274 0.418 0.633
O 0.308 0.951 0.061
O 0.327 0.136 0.533
O 0.403 0.243 0.991
O 0.416 0.784 0.623
O 0.418 0.633 0.274
O 0.523 0.702 0.922
O 0.533 0.327 0.136
O 0.623 0.416 0.784
O 0.633 0.274 0.418
O 0.648 0.795 0.056
O 0.702 0.922 0.523
O 0.745 0.093 0.976
O 0.784 0.623 0.416
O 0.795 0.056 0.648
O 0.922 0.523 0.702
O 0.951 0.061 0.308
O 0.976 0.745 0.093
O 0.991 0.403 0.243

Principal peaks in the range 2θ from 10° to 80°, by intensity:
- 2θ = 23.60°, intensity 100
- 2θ = 20.20°, intensity 81
- 2θ = 32.17°, intensity 67
- 2θ = 20.00°, intensity 45
- 2θ = 28.58°, intensity 39
- 2θ = 35.01°, intensity 35
- 2θ = 14.18°, intensity 35
- 2θ = 54.73°, intensity 35
- 2θ = 48.27°, intensity 26
- 2θ = 53.11°, intensity 22

***

Entry 2:
This entry pairs a crystal structure of MgFeCoO4 with its theoretical powder X-ray diffraction pattern. Radiation: Cu Kα (weighted mean of Kα1 and Kα2). Structure: a crystal structure in the Materials Project, relaxed with GGA+U.
Peak positions follow from Bragg's law for the DFT cell and can differ from measured ones.

a b c (Å): 4.990 2.950 5.103
angles (deg): 90.00 106.50 90.00
Positions (direct):
Mg 0.000 0.000 0.000
Fe 0.500 0.000 0.500
Co 0.000 0.500 0.500
O 0.214 0.000 0.707
O 0.245 0.500 0.267
O 0.755 0.500 0.733
O 0.786 0.000 0.293

Principal peaks in the range 2θ from 10° to 80°, by intensity:
- 2θ = 18.13°, intensity 100
- 2θ = 42.86°, intensity 73
- 2θ = 44.84°, intensity 33
- 2θ = 35.75°, intensity 23
- 2θ = 63.17°, intensity 19
- 2θ = 64.34°, intensity 18
- 2θ = 37.75°, intensity 17
- 2θ = 36.84°, intensity 12
- 2θ = 18.54°, intensity 12
- 2θ = 56.27°, intensity 10

***

Entry 3:
This entry pairs a crystal structure of VZn6P3O16 with its theoretical powder X-ray diffraction pattern. Radiation: Cu Kα (weighted mean of Kα1 and Kα2). Structure: a crystal structure in the Materials Project, relaxed with GGA+U.
Peak positions follow from Bragg's law for the DFT cell and can differ from measured ones.

a b c (Å): 5.408 8.438 8.539
angles (deg): 73.91 71.80 89.70
Positions (direct):
V 0.000 0.000 0.000
Zn 0.194 0.260 0.605
Zn 0.522 0.716 0.245
Zn 0.569 0.198 0.865
Zn 0.613 0.756 0.612
Zn 0.628 0.228 0.247
Zn 0.982 0.681 0.868
P 0.178 0.936 0.486
P 0.422 0.506 0.997
P 0.750 0.439 0.485
O 0.180 0.501 0.941
O 0.248 0.821 0.647
O 0.304 0.878 0.327
O 0.305 0.117 0.448
O 0.333 0.000 0.940
O 0.383 0.562 0.157
O 0.515 0.325 0.036
O 0.521 0.324 0.643
O 0.649 0.620 0.836
O 0.656 0.619 0.449
O 0.784 0.381 0.327
O 0.848 0.799 0.043
O 0.865 0.071 0.173
O 0.881 0.938 0.539
O 0.928 0.134 0.820
O 0.994 0.444 0.538

Principal peaks in the range 2θ from 10° to 80°, by intensity:
- 2θ = 26.86°, intensity 100
- 2θ = 28.44°, intensity 76
- 2θ = 28.22°, intensity 72
- 2θ = 17.37°, intensity 45
- 2θ = 33.15°, intensity 39
- 2θ = 21.67°, intensity 36
- 2θ = 22.02°, intensity 30
- 2θ = 34.66°, intensity 25
- 2θ = 19.67°, intensity 25
- 2θ = 29.37°, intensity 23

***

Entry 4:
This entry pairs a crystal structure of Li2MgNi3O8 with its theoretical powder X-ray diffraction pattern. Radiation: Cu Kα (weighted mean of Kα1 and Kα2). Structure: a crystal structure in the Materials Project, relaxed with GGA+U.
Peak positions follow from Bragg's law for the DFT cell and can differ from measured ones.

a b c (Å): 5.683 5.683 5.857
angles (deg): 118.98 118.98 59.95
Positions (direct):
Li 0.000 0.000 0.000
Li 0.500 0.500 0.000
Mg 0.000 0.000 0.500
Ni 0.000 0.500 0.500
Ni 0.500 0.000 0.500
Ni 0.500 0.500 0.500
O 0.243 0.715 0.710
O 0.247 0.247 0.706
O 0.267 0.267 0.305
O 0.285 0.757 0.290
O 0.715 0.243 0.710
O 0.733 0.733 0.695
O 0.753 0.753 0.294
O 0.757 0.285 0.290

Principal peaks in the range 2θ from 10° to 80°, by intensity:
- 2θ = 18.27°, intensity 100
- 2θ = 44.44°, intensity 54
- 2θ = 37.06°, intensity 34
- 2θ = 58.06°, intensity 15
- 2θ = 65.75°, intensity 14
- 2θ = 63.58°, intensity 14
- 2θ = 19.04°, intensity 13
- 2θ = 68.88°, intensity 13
- 2θ = 48.43°, intensity 9
- 2θ = 38.63°, intensity 8

***

Entry 5:
This entry pairs a crystal structure of Li3TiMn4O8 with its theoretical powder X-ray diffraction pattern. Radiation: Cu Kα (weighted mean of Kα1 and Kα2). Structure: a crystal structure in the Materials Project, relaxed with GGA+U.
Peak positions follow from Bragg's law for the DFT cell and can differ from measured ones.

a b c (Å): 6.124 6.139 6.149
angles (deg): 119.17 90.73 119.76
Positions (direct):
Li 0.000 0.000 0.000
Li 0.000 0.000 0.500
Li 0.000 0.500 0.000
Ti 0.500 0.500 0.500
Mn 0.000 0.500 0.500
Mn 0.500 0.000 0.000
Mn 0.500 0.000 0.500
Mn 0.500 0.500 0.000
O 0.254 0.471 0.253
O 0.269 0.499 0.729
O 0.275 0.001 0.726
O 0.284 0.035 0.288
O 0.716 0.965 0.712
O 0.725 0.999 0.274
O 0.731 0.501 0.271
O 0.746 0.529 0.747

Principal peaks in the range 2θ from 10° to 80°, by intensity:
- 2θ = 17.71°, intensity 100
- 2θ = 41.19°, intensity 62
- 2θ = 41.35°, intensity 60
- 2θ = 41.91°, intensity 59
- 2θ = 60.15°, intensity 49
- 2θ = 35.85°, intensity 29
- 2θ = 33.92°, intensity 27
- 2θ = 17.57°, intensity 23
- 2θ = 59.43°, intensity 17
- 2θ = 60.31°, intensity 17

***

Entry 6:
This entry pairs a crystal structure of V5O12 with its theoretical powder X-ray diffraction pattern. Radiation: Cu Kα (weighted mean of Kα1 and Kα2). Structure: a crystal structure in the Materials Project, relaxed with GGA+U.
Peak positions follow from Bragg's law for the DFT cell and can differ from measured ones.

a b c (Å): 6.762 6.762 6.013
angles (deg): 105.39 105.39 82.73
Positions (direct):
V 0.000 0.000 0.000
V 0.132 0.468 0.016
V 0.296 0.279 0.492
V 0.532 0.868 0.984
V 0.721 0.704 0.508
O 0.020 0.713 0.044
O 0.107 0.102 0.324
O 0.270 0.413 0.790
O 0.287 0.980 0.956
O 0.295 0.446 0.298
O 0.515 0.148 0.523
O 0.554 0.705 0.702
O 0.587 0.730 0.210
O 0.711 0.041 0.049
O 0.852 0.485 0.477
O 0.898 0.893 0.676
O 0.959 0.289 0.951

Principal peaks in the range 2θ from 10° to 80°, by intensity:
- 2θ = 28.16°, intensity 100
- 2θ = 25.46°, intensity 75
- 2θ = 18.69°, intensity 63
- 2θ = 29.95°, intensity 63
- 2θ = 19.87°, intensity 63
- 2θ = 18.18°, intensity 61
- 2θ = 31.82°, intensity 48
- 2θ = 45.33°, intensity 25
- 2θ = 35.05°, intensity 25
- 2θ = 30.69°, intensity 24